Computed XRD peak list of RbTlBr2F8 for Cu Kα, 1.54184 Å, from DFT lattice parameters and positions (PBE).
Peak positions follow from Bragg's law for the DFT cell and can differ from measured ones.

The 8 most intense peaks (2θ from 15° to 90°), most intense first:
2θ (°)  I (rel.)
22.8  100
29.3  58
37.9  37
27.6  34
37.0  27
46.1  23
39.0  18
25.4  18

Crystal structure
a = 6.1337 Å, b = 6.1337 Å, c = 7.4964 Å
α = 108.13°, β = 108.13°, γ = 63.51°
Element x y z (fractional)
Rb: 0.0000 0.0000 0.0000
Tl: 0.5000 0.5000 0.5000
Br: 0.2456 0.2456 0.6954
Br: 0.7544 0.7544 0.3046
F: 0.2526 0.2526 0.4351
F: 0.2558 0.7238 0.2940
F: 0.2632 0.2632 0.9509
F: 0.2762 0.7442 0.7060
F: 0.7238 0.2558 0.2940
F: 0.7368 0.7368 0.0491
F: 0.7442 0.2762 0.7060
F: 0.7474 0.7474 0.5649